Structure and computed X-ray diffraction stick pattern of SrAu2S4O16 (a cell relaxed with GGA-PBE; CuKα).
No peak broadening, texture or thermal motion is included.

Peak list (8 most intense, 2θ from 10° to 80°, most intense first)
2θ 18.3, d 4.851, rel. 1000, (0 0 2)
2θ 29.0, d 3.083, rel. 574, (0 4 2)
2θ 17.4, d 5.099, rel. 528, (1 1 -2)
2θ 17.1, d 5.184, rel. 505, (1 1 1)
2θ 29.7, d 3.006, rel. 468, (1 5 -1)
2θ 11.5, d 7.715, rel. 411, (1 1 -1)
2θ 11.3, d 7.813, rel. 400, (1 1 0)
2θ 27.7, d 3.225, rel. 344, (3 1 -1)

Cell and atoms:
```
data_SrAu2S4O16
_cell_length_a 9.9934
_cell_length_b 15.9714
_cell_length_c 10.8252
_cell_angle_alpha 90.00
_cell_angle_beta 116.32
_cell_angle_gamma 90.00
_symmetry_space_group_name_H-M 'C 1 2/c 1'
_symmetry_Int_Tables_number 15
loop_
_symmetry_equiv_pos_as_xyz
'x,y,z'
'-x,-y,-z'
'-x,y,-z+1/2'
'x,-y,z+1/2'
'x+1/2,y+1/2,z'
'-x+1/2,-y+1/2,-z'
'-x+1/2,y+1/2,-z+1/2'
'x+1/2,-y+1/2,z+1/2'
loop_
_atom_site_label
_atom_site_type_symbol
_atom_site_fract_x
_atom_site_fract_y
_atom_site_fract_z
Sr1 Sr 0.0000 0.1261 0.2500
Au1 Au 0.0000 0.5000 0.0000
Au2 Au 0.2500 0.2500 0.0000
S1 S 0.0608 0.3053 0.5225
S2 S 0.2079 0.0558 0.0131
O1 O 0.0048 0.3819 0.0733
O2 O 0.0328 0.2879 0.8988
O3 O 0.0430 0.2374 0.4274
O4 O 0.1236 0.4622 0.9021
O5 O 0.1383 0.0115 0.4158
O6 O 0.1547 0.0721 0.1151
O7 O 0.1873 0.1330 0.9199
O8 O 0.2094 0.3220 0.6294
```